(1)
For Ca2Cd3Hg8, the GGA-PBE geometry in Alexandria gives the simulated X-ray diffraction stick pattern in this record (Cu Kα (λ = 1.5418 Å)).
Peak positions follow from Bragg's law for the DFT cell and can differ from measured ones.

Most intense lines, 10 to 90 degrees two-theta, in order of rising 2θ:
d (Å)	Position (°2θ)	I/Imax
3.713	23.97	16
3.477	25.62	25
2.911	30.71	35
2.719	32.94	27
2.660	33.70	69
2.606	34.42	26
2.587	34.67	100
2.375	37.88	21
2.204	40.94	17
1.522	60.87	20

Structure:
```
13
Lattice="6.2139 -5.3222 0.0000 6.2139 5.3222 0.0000 -1.4598 0.0000 5.1814" Properties=species:S:1:pos:R:3 pbc="T T T"
Ca 2.0615 0.0000 1.8304
Ca 8.9066 0.0000 3.3511
Cd 6.2139 2.6621 0.0000
Cd 5.4840 0.0000 2.5907
Cd 6.2139 -2.6621 0.0000
Hg -0.3080 0.0000 4.0216
Hg 3.7885 2.6154 1.8413
Hg 3.0950 0.0000 4.8070
Hg 7.1795 2.6154 3.3401
Hg 3.7885 -2.6154 1.8413
Hg 7.8730 0.0000 0.3744
Hg 7.1795 -2.6154 3.3401
Hg 11.2760 0.0000 1.1599
```

(2)
For Ni6RuRh2, the GGA-PBE geometry in Alexandria gives the simulated X-ray diffraction stick pattern in this record (Cu Kα (λ = 1.5418 Å)).
Peak positions follow from Bragg's law for the DFT cell and can differ from measured ones.

Most intense lines, 10 to 90 degrees two-theta, in order of rising 2θ:
d (Å)	Position (°2θ)	I/Imax
3.558	25.02	16
2.324	38.75	63
2.077	43.59	43
2.012	45.06	100
2.007	45.17	80
1.988	45.62	17
1.822	50.05	54
1.657	55.44	15
1.414	66.08	15
1.295	73.05	17

Structure:
```
18
Lattice="3.8775 -4.1531 0.0000 3.8775 4.1531 0.0000 -2.5844 0.0000 6.9005" Properties=species:S:1:pos:R:3 pbc="T T T"
Ni 1.9472 3.2175 3.9499
Ni 1.9421 0.9480 0.4901
Ni 1.9313 3.2175 6.4009
Ni 1.9511 0.9481 2.9535
Ni 0.6499 -0.9480 3.9403
Ni 4.5118 0.9481 0.4967
Ni 0.6589 -0.9481 6.4038
Ni 4.5208 0.9480 2.9602
Ni 3.2196 -0.9481 3.9470
Ni 3.2394 -3.2175 0.4996
Ni 3.2286 -0.9480 6.4105
Ni 3.2235 -3.2175 2.9506
Ru 3.2314 2.8312 1.7251
Ru 1.9392 -2.8312 5.1754
Rh 0.6307 1.3138 5.1683
Rh 1.9229 -1.3138 1.7180
Rh 3.2478 1.3138 5.1825
Rh 4.5400 -1.3138 1.7323
```